1.
The following is a simulated powder XRD pattern of CeAl3Au. It was derived from a crystal structure in the Materials Project, relaxed with PBE, using Cu Kα X-rays.
Intensities are scaled so that the largest is 100.

Cell and atoms:
```
data_CeAl3Au
_chemical_formula_sum 'Ce2 Al6 Au2'
_cell_length_a 4.324
_cell_length_b 4.324
_cell_length_c 10.811
_cell_angle_alpha 90.00
_cell_angle_beta 90.00
_cell_angle_gamma 90.00
_symmetry_space_group_name_H-M 'I 4 m m'
_symmetry_Int_Tables_number 107
_symmetry_space_group_name_Hall 'I 4 -2'
loop_
_atom_site_label
_atom_site_type_symbol
_atom_site_fract_x
_atom_site_fract_y
_atom_site_fract_z
Ce1 Ce 0.000 0.000 0.000
Al1 Al 0.000 0.000 0.409
Al2 Al 0.000 0.500 0.262
Au1 Au 0.000 0.000 0.637
```

Principal peaks in the range 2θ = 5–70°, in order of rising 2θ:
index  2θ/deg  Rel. int.
0 0 2  16.4  36
1 0 1  22.1  45
1 1 0  29.2  61
1 0 3  32.3  100
1 1 2  33.7  55
2 0 0  41.8  42
1 0 5  47.0  33
2 1 1  47.8  12
2 1 3  53.8  48
1 1 6  59.6  14
2 2 0  60.6  14
2 1 5  64.7  26

=====

2.
The following is a simulated powder XRD pattern of Rb2AlAuCl6. It was derived from a crystal structure in the Materials Project, relaxed with PBE, using Cu Kα X-rays.
Intensities are scaled so that the largest is 100.

Cell and atoms:
```
data_Rb2AlAuCl6
_chemical_formula_sum 'Rb8 Al4 Au4 Cl24'
_cell_length_a 10.236
_cell_length_b 10.236
_cell_length_c 10.236
_cell_angle_alpha 90.00
_cell_angle_beta 90.00
_cell_angle_gamma 90.00
_symmetry_space_group_name_H-M 'F m -3 m'
_symmetry_Int_Tables_number 225
_symmetry_space_group_name_Hall '-F 4 2 3'
loop_
_atom_site_label
_atom_site_type_symbol
_atom_site_fract_x
_atom_site_fract_y
_atom_site_fract_z
Rb1 Rb 0.250 0.250 0.250
Al1 Al 0.000 0.000 0.000
Au1 Au 0.000 0.000 0.500
Cl1 Cl 0.000 0.000 0.231
```

Principal peaks in the range 2θ = 5–70°, in order of rising 2θ:
index  2θ/deg  Rel. int.
1 1 1  15.0  36
2 0 0  17.3  18
2 2 0  24.6  100
3 1 1  28.9  39
4 0 0  35.1  68
3 3 1  38.3  27
4 2 2  43.3  44
3 3 3  46.1  12
4 4 0  50.4  45
6 2 0  56.9  23
4 4 4  62.9  15
6 4 2  68.6  25

=====

3.
The following is a simulated powder XRD pattern of Cs2AlAuI6. It was derived from a crystal structure in the Materials Project, relaxed with PBE, using Cu Kα X-rays.
Intensities are scaled so that the largest is 100.

Cell and atoms:
```
data_Cs2AlAuI6
_chemical_formula_sum 'Cs8 Al4 Au4 I24'
_cell_length_a 11.718
_cell_length_b 11.718
_cell_length_c 11.718
_cell_angle_alpha 90.00
_cell_angle_beta 90.00
_cell_angle_gamma 90.00
_symmetry_space_group_name_H-M 'F m -3 m'
_symmetry_Int_Tables_number 225
_symmetry_space_group_name_Hall '-F 4 2 3'
loop_
_atom_site_label
_atom_site_type_symbol
_atom_site_fract_x
_atom_site_fract_y
_atom_site_fract_z
Cs1 Cs 0.250 0.250 0.250
Al1 Al 0.000 0.000 0.000
Au1 Au 0.000 0.000 0.500
I1 I 0.000 0.000 0.242
```

Principal peaks in the range 2θ = 5–70°, in order of rising 2θ:
index  2θ/deg  Rel. int.
1 1 1  13.1  10
2 0 0  15.1  17
2 2 0  21.4  17
3 1 1  25.2  14
2 2 2  26.3  79
4 0 0  30.5  100
3 3 1  33.3  11
4 4 0  43.7  73
6 2 2  51.7  35
4 4 4  54.2  26
8 0 0  63.5  12
6 6 2  70.0  14

=====

4.
The following is a simulated powder XRD pattern of AlCuAu2. It was derived from a crystal structure in the Materials Project, relaxed with PBE, using Cu Kα X-rays.
Intensities are scaled so that the largest is 100.

Cell and atoms:
```
data_AlCuAu2
_chemical_formula_sum 'Al4 Cu4 Au8'
_cell_length_a 6.294
_cell_length_b 6.294
_cell_length_c 6.294
_cell_angle_alpha 90.00
_cell_angle_beta 90.00
_cell_angle_gamma 90.00
_symmetry_space_group_name_H-M 'F m -3 m'
_symmetry_Int_Tables_number 225
_symmetry_space_group_name_Hall '-F 4 2 3'
loop_
_atom_site_label
_atom_site_type_symbol
_atom_site_fract_x
_atom_site_fract_y
_atom_site_fract_z
Al1 Al 0.000 0.000 0.000
Cu1 Cu 0.000 0.000 0.500
Au1 Au 0.250 0.250 0.250
```

Principal peaks in the range 2θ = 5–70°, in order of rising 2θ:
index  2θ/deg  Rel. int.
1 1 1  24.5  2
2 0 0  28.4  47
2 2 0  40.5  100
3 1 1  47.9  1
2 2 2  50.2  14
4 0 0  58.7  17
4 2 0  66.4  18

=====

5.
The following is a simulated powder XRD pattern of La5Al15Cu2Au3. It was derived from a crystal structure in the Materials Project, relaxed with PBE, using Cu Kα X-rays.
Intensities are scaled so that the largest is 100.

Cell and atoms:
```
data_La5Al15Cu2Au3
_chemical_formula_sum 'La10 Al30 Cu4 Au6'
_cell_length_a 4.370
_cell_length_b 4.370
_cell_length_c 53.977
_cell_angle_alpha 90.00
_cell_angle_beta 90.00
_cell_angle_gamma 90.00
_symmetry_space_group_name_H-M 'I 4 m m'
_symmetry_Int_Tables_number 107
_symmetry_space_group_name_Hall 'I 4 -2'
loop_
_atom_site_label
_atom_site_type_symbol
_atom_site_fract_x
_atom_site_fract_y
_atom_site_fract_z
La1 La 0.000 0.000 0.000
La2 La 0.000 0.000 0.199
La3 La 0.000 0.000 0.399
La4 La 0.000 0.000 0.600
La5 La 0.000 0.000 0.799
Al1 Al 0.000 0.000 0.081
Al2 Al 0.000 0.000 0.280
Al3 Al 0.000 0.000 0.482
Al4 Al 0.000 0.000 0.679
Al5 Al 0.000 0.000 0.880
Al6 Al 0.000 0.500 0.050
Al7 Al 0.000 0.500 0.150
Al8 Al 0.000 0.500 0.251
Al9 Al 0.000 0.500 0.351
Al10 Al 0.000 0.500 0.452
Cu1 Cu 0.000 0.000 0.127
Cu2 Cu 0.000 0.000 0.527
Au1 Au 0.000 0.000 0.327
Au2 Au 0.000 0.000 0.726
Au3 Au 0.000 0.000 0.927
```

Principal peaks in the range 2θ = 5–70°, in order of rising 2θ:
index  2θ/deg  Rel. int.
0 0 10  16.4  30
1 0 5  21.9  33
1 1 0  28.9  59
1 0 15  32.2  100
1 1 10  33.4  60
2 0 0  41.3  46
1 0 25  46.9  33
2 1 15  53.3  48
1 1 30  59.4  15
2 2 0  59.9  15
2 1 25  64.3  25
0 0 40  69.6  15

=====

6.
The following is a simulated powder XRD pattern of La2Al6CuAu. It was derived from a crystal structure in the Materials Project, relaxed with PBE, using Cu Kα X-rays.
Intensities are scaled so that the largest is 100.

Cell and atoms:
```
data_La2Al6CuAu
_chemical_formula_sum 'La2 Al6 Cu1 Au1'
_cell_length_a 4.344
_cell_length_b 4.344
_cell_length_c 10.859
_cell_angle_alpha 90.00
_cell_angle_beta 90.00
_cell_angle_gamma 90.00
_symmetry_space_group_name_H-M 'P 4 m m'
_symmetry_Int_Tables_number 99
_symmetry_space_group_name_Hall 'P 4 -2'
loop_
_atom_site_label
_atom_site_type_symbol
_atom_site_fract_x
_atom_site_fract_y
_atom_site_fract_z
La1 La 0.000 0.000 0.000
La2 La 0.500 0.500 0.493
Al1 Al 0.000 0.000 0.398
Al2 Al 0.000 0.500 0.247
Al3 Al 0.000 0.500 0.758
Al4 Al 0.500 0.500 0.910
Cu1 Cu 0.500 0.500 0.134
Au1 Au 0.000 0.000 0.631
```

Principal peaks in the range 2θ = 5–70°, in order of rising 2θ:
index  2θ/deg  Rel. int.
0 0 1  8.1  28
0 0 2  16.3  31
1 0 1  22.0  30
1 1 0  29.1  59
1 0 3  32.2  100
1 1 2  33.5  64
2 0 0  41.6  48
1 0 5  46.8  37
2 1 3  53.5  47
1 1 6  59.3  15
2 2 0  60.3  17
2 1 5  64.3  27

=====

7.
The following is a simulated powder XRD pattern of La5Al15Cu4Au. It was derived from a crystal structure in the Materials Project, relaxed with PBE, using Cu Kα X-rays.
Intensities are scaled so that the largest is 100.

Cell and atoms:
```
data_La5Al15Cu4Au
_chemical_formula_sum 'La10 Al30 Cu8 Au2'
_cell_length_a 4.331
_cell_length_b 4.331
_cell_length_c 53.710
_cell_angle_alpha 90.00
_cell_angle_beta 90.00
_cell_angle_gamma 90.00
_symmetry_space_group_name_H-M 'I 4 m m'
_symmetry_Int_Tables_number 107
_symmetry_space_group_name_Hall 'I 4 -2'
loop_
_atom_site_label
_atom_site_type_symbol
_atom_site_fract_x
_atom_site_fract_y
_atom_site_fract_z
La1 La 0.000 0.000 0.000
La2 La 0.000 0.000 0.199
La3 La 0.000 0.000 0.400
La4 La 0.000 0.000 0.600
La5 La 0.000 0.000 0.800
Al1 Al 0.000 0.000 0.081
Al2 Al 0.000 0.000 0.282
Al3 Al 0.000 0.000 0.481
Al4 Al 0.000 0.000 0.679
Al5 Al 0.000 0.000 0.881
Al6 Al 0.000 0.500 0.050
Al7 Al 0.000 0.500 0.149
Al8 Al 0.000 0.500 0.251
Al9 Al 0.000 0.500 0.350
Al10 Al 0.000 0.500 0.450
Cu1 Cu 0.000 0.000 0.126
Cu2 Cu 0.000 0.000 0.327
Cu3 Cu 0.000 0.000 0.526
Cu4 Cu 0.000 0.000 0.926
Au1 Au 0.000 0.000 0.726
```

Principal peaks in the range 2θ = 5–70°, in order of rising 2θ:
index  2θ/deg  Rel. int.
0 0 4  6.6  10
0 0 10  16.5  29
1 0 5  22.1  29
1 1 0  29.2  57
1 0 15  32.4  100
1 1 10  33.7  78
2 0 0  41.7  50
1 0 25  47.2  39
2 1 15  53.8  47
1 1 30  59.8  15
2 2 0  60.5  16
2 1 25  64.8  29

=====

8.
The following is a simulated powder XRD pattern of DyAl7Au3. It was derived from a crystal structure in the Materials Project, relaxed with PBE, using Cu Kα X-rays.
Intensities are scaled so that the largest is 100.

Cell and atoms:
```
data_DyAl7Au3
_chemical_formula_sum 'Dy6 Al42 Au18'
_cell_length_a 8.1004
_cell_length_b 8.1004
_cell_length_c 21.1431
_cell_angle_alpha 90.00
_cell_angle_beta 90.00
_cell_angle_gamma 120.00
_symmetry_space_group_name_H-M 'R -3 c'
_symmetry_Int_Tables_number 167
_symmetry_space_group_name_Hall '-R 3 2"c'
loop_
_atom_site_label
_atom_site_type_symbol
_atom_site_fract_x
_atom_site_fract_y
_atom_site_fract_z
Dy1 Dy 0.0000 0.0000 0.0000
Al1 Al 0.0000 0.0000 0.2500
Al2 Al 0.0105 0.2065 0.1368
Au1 Au 0.0000 0.3238 0.2500
```

Principal peaks in the range 2θ = 5–70°, in order of rising 2θ:
index  2θ/deg  Rel. int.
0 1 2  15.2  7
1 1 3  25.4  100
1 1 6  33.7  35
0 1 8  36.3  6
2 1 4  38.0  9
3 0 0  38.5  38
1 1 9  44.6  31
2 2 3  46.6  44
2 2 6  52.1  9
4 1 3  62.0  18
3 0 12  66.4  18
1 4 6  66.6  12